(1)
The following is a theoretical powder X-ray diffraction pattern of CdSbCl. It was derived from a cell relaxed with PBE, using copper Kα.
Intensities are scaled so that the largest is 100.

Largest 10 diffraction maxima, sorted by position, 2θ from 10° to 90°:
- 13.56 deg, I 87, (0 1 1)
- 21.69 deg, I 42, (0 0 2)
- 22.28 deg, I 100, (1 1 0)
- 27.04 deg, I 50, (0 3 1)
- 27.32 deg, I 38, (0 2 2)
- 28.71 deg, I 100, (1 2 1)
- 39.37 deg, I 33, (1 3 2)
- 40.98 deg, I 61, (1 4 1)
- 42.10 deg, I 36, (2 0 0)
- 42.66 deg, I 100, (1 2 3)

Crystal structure
a b c (Å): 4.2927 10.8065 8.1933
angles (deg): 90.00 90.00 90.00
Space group Ima2 (No. 46)
Symmetry-distinct sites (fractional):
Cd  0.2500  0.1774  0.0000 (multiplicity 4)
Sb  0.2500  0.0875  0.3185 (multiplicity 4)
Cl  0.2500  0.6343  0.3233 (multiplicity 4)

(2)
The following is a theoretical powder X-ray diffraction pattern of CdSbTe2Cl. It was derived from a cell relaxed with PBE, using copper Kα.
Intensities are scaled so that the largest is 100.

Largest 10 diffraction maxima, sorted by position, 2θ from 10° to 90°:
- 15.58 deg, I 45, (0 0 1)
- 16.01 deg, I 80, (1 0 0)
- 27.67 deg, I 94, (1 1 1)
- 31.46 deg, I 54, (0 0 2)
- 32.35 deg, I 100, (2 0 0)
- 45.75 deg, I 75, (2 0 2)
- 46.40 deg, I 36, (2 2 0)
- 54.88 deg, I 27, (3 1 1)
- 57.14 deg, I 38, (2 2 2)
- 85.58 deg, I 24, (4 2 2)

Crystal structure
a b c (Å): 5.5352 5.5352 5.6870
angles (deg): 90.00 90.00 90.00
Space group P4/mmm (No. 123)
Symmetry-distinct sites (fractional):
Cd  0.0000  0.0000  0.0000 (multiplicity 1)
Sb  0.0000  0.0000  0.5000 (multiplicity 1)
Te  0.0000  0.5000  0.0000 (multiplicity 2)
Cl  0.5000  0.5000  0.5000 (multiplicity 1)

(3)
The following is a theoretical powder X-ray diffraction pattern of ScCdCl. It was derived from a cell relaxed with PBE, using copper Kα.
Intensities are scaled so that the largest is 100.

Largest 10 diffraction maxima, sorted by position, 2θ from 10° to 90°:
- 11.73 deg, I 60, (2 0 0)
- 23.59 deg, I 54, (4 0 0)
- 30.47 deg, I 58, (0 1 1)
- 30.83 deg, I 38, (1 0 2)
- 31.05 deg, I 24, (1 1 1)
- 35.23 deg, I 69, (3 0 2)
- 35.42 deg, I 100, (3 1 1)
- 38.89 deg, I 46, (4 1 1)
- 54.26 deg, I 26, (0 2 0)
- 66.36 deg, I 28, (3 2 2)

Crystal structure
a b c (Å): 15.0851 3.3801 5.9104
angles (deg): 90.00 90.00 90.00
Space group Amm2 (No. 38)
Symmetry-distinct sites (fractional):
Sc  0.1598  0.0000  0.0000 (multiplicity 4)
Cd  0.0000  0.0000  0.6695 (multiplicity 2)
Cd  0.5000  0.0000  0.9247 (multiplicity 2)
Cl  0.2720  0.0000  0.6676 (multiplicity 4)

(4)
The following is a theoretical powder X-ray diffraction pattern of CdSeCl. It was derived from a cell relaxed with PBE, using copper Kα.
Intensities are scaled so that the largest is 100.

Largest 10 diffraction maxima, sorted by position, 2θ from 10° to 90°:
- 16.56 deg, I 49, (1 0 1)
- 18.00 deg, I 99, (0 1 2)
- 27.99 deg, I 24, (1 1 0)
- 30.61 deg, I 53, (1 1 3)
- 36.46 deg, I 34, (0 2 4)
- 37.48 deg, I 100, (2 -1 6)
- 38.57 deg, I 37, (2 0 5)
- 44.19 deg, I 27, (1 2 2)
- 49.53 deg, I 21, (3 0 0)
- 84.75 deg, I 19, (1 4 6)

Crystal structure
a b c (Å): 6.3748 6.3748 21.8689
angles (deg): 90.00 90.00 120.00
Space group R3 (No. 146, hexagonal axes)
Symmetry-distinct sites (fractional):
Cd  0.0000  0.0000  0.0000 (multiplicity 3)
Cd  0.0000  0.0000  0.1767 (multiplicity 3)
Cd  0.0000  0.0000  0.6482 (multiplicity 3)
Se  0.0298  0.5709  0.4207 (multiplicity 9)
Cl  0.0036  0.3460  0.5866 (multiplicity 9)

(5)
The following is a theoretical powder X-ray diffraction pattern of Cd2Se2Cl. It was derived from a cell relaxed with PBE, using copper Kα.
Intensities are scaled so that the largest is 100.

Largest 10 diffraction maxima, sorted by position, 2θ from 10° to 90°:
- 16.25 deg, I 40, (1 -1 0)
- 22.29 deg, I 77, (0 1 1)
- 26.06 deg, I 34, (1 1 -1)
- 26.81 deg, I 100, (0 1 -2)
- 28.06 deg, I 39, (-2 1 1)
- 29.74 deg, I 55, (1 -2 1)
- 30.84 deg, I 91, (2 0 -1)
- 37.17 deg, I 49, (2 -2 1)
- 38.99 deg, I 56, (0 0 3)
- 43.38 deg, I 44, (2 1 0)

Crystal structure
a b c (Å): 6.4518 6.5571 7.4586
angles (deg): 93.90 107.26 116.02
Space group P-1 (No. 2)
Symmetry-distinct sites (fractional):
Cd  0.1058  0.3360  0.4428 (multiplicity 2)
Cd  0.3203  0.8497  0.1594 (multiplicity 2)
Se  0.1121  0.4239  0.8044 (multiplicity 2)
Se  0.2221  0.0361  0.8400 (multiplicity 2)
Cl  0.4596  0.2342  0.4346 (multiplicity 2)

(6)
The following is a theoretical powder X-ray diffraction pattern of Cd3Sn5Cl16. It was derived from a cell relaxed with PBE, using copper Kα.
Intensities are scaled so that the largest is 100.

Largest 10 diffraction maxima, sorted by position, 2θ from 10° to 90°:
- 13.50 deg, I 100, (0 0 2)
- 14.05 deg, I 67, (1 1 -1)
- 14.28 deg, I 89, (1 1 1)
- 25.01 deg, I 45, (3 1 -2)
- 25.84 deg, I 84, (3 1 2)
- 28.79 deg, I 43, (2 2 2)
- 32.13 deg, I 58, (2 2 -3)
- 32.81 deg, I 92, (4 0 3)
- 42.40 deg, I 42, (2 2 -5)
- 43.66 deg, I 75, (6 2 0)

Crystal structure
a b c (Å): 14.4512 8.1685 13.1261
angles (deg): 90.00 92.39 90.00
Space group Cm (No. 8)
Symmetry-distinct sites (fractional):
Cd  0.0000  0.0000  0.0000 (multiplicity 2)
Cd  0.4270  0.2480  0.4923 (multiplicity 4)
Sn  0.1621  0.0000  0.2600 (multiplicity 2)
Sn  0.1860  0.5000  0.4979 (multiplicity 2)
Sn  0.2527  0.2543  0.9964 (multiplicity 4)
Sn  0.4984  0.0000  0.7517 (multiplicity 2)
Cl  0.0662  0.2656  0.6308 (multiplicity 4)
Cl  0.0827  0.2195  0.1291 (multiplicity 4)
Cl  0.1480  0.0000  0.8862 (multiplicity 2)
Cl  0.1784  0.5000  0.8651 (multiplicity 2)
Cl  0.2672  0.2667  0.3857 (multiplicity 4)
Cl  0.3154  0.0000  0.1367 (multiplicity 2)
Cl  0.3460  0.5000  0.1137 (multiplicity 2)
Cl  0.3517  0.5000  0.6044 (multiplicity 2)
Cl  0.3534  0.0000  0.6081 (multiplicity 2)
Cl  0.4144  0.2608  0.8962 (multiplicity 4)
Cl  0.4927  0.0000  0.3868 (multiplicity 2)
Cl  0.4985  0.5000  0.3943 (multiplicity 2)

(7)
The following is a theoretical powder X-ray diffraction pattern of SrCdSnCl6. It was derived from a cell relaxed with PBE, using copper Kα.
Intensities are scaled so that the largest is 100.

Largest 10 diffraction maxima, sorted by position, 2θ from 10° to 90°:
- 19.05 deg, I 100, (1 1 0)
- 24.80 deg, I 54, (1 0 3)
- 28.31 deg, I 23, (1 1 3)
- 37.04 deg, I 86, (2 1 3)
- 38.66 deg, I 27, (2 2 0)
- 42.21 deg, I 14, (0 0 6)
- 43.44 deg, I 14, (3 1 0)
- 46.48 deg, I 38, (3 0 3)
- 46.69 deg, I 19, (1 1 6)
- 58.57 deg, I 15, (2 2 6)

Crystal structure
a b c (Å): 6.5869 6.5869 12.8460
angles (deg): 90.00 90.00 90.00
Space group P4_2nm (No. 102)
Symmetry-distinct sites (fractional):
Sr  0.0000  0.0000  0.0000 (multiplicity 2)
Cd  0.0000  0.0000  0.6666 (multiplicity 2)
Sn  0.0000  0.0000  0.3316 (multiplicity 2)
Cl  0.1874  0.1874  0.5090 (multiplicity 4)
Cl  0.1922  0.1922  0.8203 (multiplicity 4)
Cl  0.2087  0.2087  0.1682 (multiplicity 4)

(8)
The following is a theoretical powder X-ray diffraction pattern of SrCdCl. It was derived from a cell relaxed with PBE, using copper Kα.
Intensities are scaled so that the largest is 100.

Largest 10 diffraction maxima, sorted by position, 2θ from 10° to 90°:
- 17.28 deg, I 10, (3 0 0)
- 24.14 deg, I 39, (0 1 1)
- 24.83 deg, I 16, (1 0 2)
- 29.84 deg, I 100, (3 0 2)
- 33.67 deg, I 15, (4 1 1)
- 42.47 deg, I 30, (0 2 0)
- 42.95 deg, I 18, (6 1 1)
- 52.77 deg, I 19, (3 2 2)
- 56.15 deg, I 14, (6 2 0)
- 70.00 deg, I 11, (3 1 5)

Crystal structure
a b c (Å): 15.3927 4.2624 7.3642
angles (deg): 90.00 90.00 90.00
Space group Amm2 (No. 38)
Symmetry-distinct sites (fractional):
Sr  0.1646  0.0000  0.0000 (multiplicity 4)
Cd  0.0000  0.0000  0.6660 (multiplicity 2)
Cd  0.5000  0.0000  0.9955 (multiplicity 2)
Cl  0.2660  0.0000  0.6662 (multiplicity 4)

(9)
The following is a theoretical powder X-ray diffraction pattern of SrCd5Cl12. It was derived from a cell relaxed with PBE, using copper Kα.
Intensities are scaled so that the largest is 100.

Largest 10 diffraction maxima, sorted by position, 2θ from 10° to 90°:
- 13.90 deg, I 100, (0 0 2)
- 26.78 deg, I 45, (1 3 1)
- 29.46 deg, I 43, (2 0 2)
- 33.47 deg, I 59, (1 3 -3)
- 38.44 deg, I 11, (2 0 -4)
- 38.55 deg, I 12, (2 0 4)
- 44.19 deg, I 29, (1 3 -5)
- 45.52 deg, I 11, (0 6 0)
- 46.17 deg, I 33, (3 3 -1)
- 61.10 deg, I 13, (2 6 4)

Crystal structure
a b c (Å): 6.8905 11.9549 12.7394
angles (deg): 90.00 90.16 90.00
Space group C2/m (No. 12)
Symmetry-distinct sites (fractional):
Sr  0.0000  0.0000  0.0000 (multiplicity 2)
Cd  0.0000  0.1666  0.5000 (multiplicity 4)
Cd  0.0000  0.3334  0.0000 (multiplicity 4)
Cd  0.0000  0.5000  0.5000 (multiplicity 2)
Cl  0.1413  0.5000  0.1175 (multiplicity 4)
Cl  0.1656  0.0000  0.3894 (multiplicity 4)
Cl  0.1665  0.3336  0.3904 (multiplicity 8)
Cl  0.1801  0.1795  0.1172 (multiplicity 8)

(10)
The following is a theoretical powder X-ray diffraction pattern of TaCd2Cl. It was derived from a cell relaxed with PBE, using copper Kα.
Intensities are scaled so that the largest is 100.

Largest 10 diffraction maxima, sorted by position, 2θ from 10° to 90°:
- 16.27 deg, I 27, (0 0 2)
- 18.09 deg, I 23, (0 1 1)
- 29.48 deg, I 10, (0 1 3)
- 32.62 deg, I 42, (0 2 0)
- 32.87 deg, I 31, (0 0 4)
- 38.23 deg, I 100, (1 1 2)
- 46.99 deg, I 22, (0 2 4)
- 48.28 deg, I 11, (1 1 4)
- 61.96 deg, I 26, (1 3 2)
- 62.27 deg, I 15, (1 1 6)

Crystal structure
a b c (Å): 2.9671 5.4907 10.8987
angles (deg): 90.00 90.00 90.00
Space group Imm2 (No. 44)
Symmetry-distinct sites (fractional):
Ta  0.0000  0.0000  0.0000 (multiplicity 2)
Cd  0.0000  0.0000  0.5158 (multiplicity 2)
Cd  0.0000  0.5000  0.7341 (multiplicity 2)
Cl  0.0000  0.5000  0.3203 (multiplicity 2)

(11)
The following is a theoretical powder X-ray diffraction pattern of TbCdCl5. It was derived from a cell relaxed with PBE, using copper Kα.
Intensities are scaled so that the largest is 100.

Largest 10 diffraction maxima, sorted by position, 2θ from 10° to 90°:
- 17.11 deg, I 100, (2 0 0)
- 20.75 deg, I 44, (0 2 0)
- 21.76 deg, I 95, (1 1 -2)
- 33.17 deg, I 19, (1 3 -1)
- 34.62 deg, I 36, (4 0 0)
- 36.97 deg, I 34, (1 3 -2)
- 38.76 deg, I 21, (2 0 -4)
- 40.75 deg, I 30, (4 2 0)
- 40.86 deg, I 18, (3 1 2)
- 41.67 deg, I 18, (5 1 -2)

Crystal structure
a b c (Å): 11.2611 8.5612 9.2951
angles (deg): 90.00 113.02 90.00
Space group C2/c (No. 15)
Symmetry-distinct sites (fractional):
Tb  0.0000  0.0506  0.2500 (multiplicity 4)
Cd  0.0000  0.5000  0.0000 (multiplicity 4)
Cl  0.0000  0.3737  0.2500 (multiplicity 4)
Cl  0.0170  0.1800  0.9606 (multiplicity 8)
Cl  0.2505  0.0456  0.3615 (multiplicity 8)

(12)
The following is a theoretical powder X-ray diffraction pattern of Cd2TcCl8. It was derived from a cell relaxed with PBE, using copper Kα.
Intensities are scaled so that the largest is 100.

Largest 10 diffraction maxima, sorted by position, 2θ from 10° to 90°:
- 14.34 deg, I 100, (1 1 0)
- 17.05 deg, I 38, (2 0 -1)
- 25.33 deg, I 26, (4 0 -1)
- 26.54 deg, I 46, (0 2 0)
- 32.19 deg, I 31, (1 1 2)
- 32.71 deg, I 25, (2 2 1)
- 39.09 deg, I 26, (0 2 2)
- 42.07 deg, I 16, (7 1 0)
- 43.59 deg, I 15, (6 2 0)
- 50.76 deg, I 14, (4 0 3)

Crystal structure
a b c (Å): 15.9401 6.7053 6.3738
angles (deg): 90.00 95.42 90.00
Space group C2/m (No. 12)
Symmetry-distinct sites (fractional):
Cd  0.1565  0.0000  0.4720 (multiplicity 4)
Tc  0.0000  0.0000  0.0000 (multiplicity 2)
Cl  0.0513  0.2439  0.2477 (multiplicity 8)
Cl  0.1352  0.0000  0.8646 (multiplicity 4)
Cl  0.1997  0.5000  0.6064 (multiplicity 4)

(13)
The following is a theoretical powder X-ray diffraction pattern of Cd4TeCl. It was derived from a cell relaxed with PBE, using copper Kα.
Intensities are scaled so that the largest is 100.

Largest 10 diffraction maxima, sorted by position, 2θ from 10° to 90°:
- 18.18 deg, I 24, (1 1 1)
- 29.90 deg, I 16, (2 2 0)
- 35.22 deg, I 100, (3 1 1)
- 36.84 deg, I 53, (2 2 2)
- 42.80 deg, I 11, (4 0 0)
- 56.58 deg, I 32, (5 1 1)
- 62.12 deg, I 28, (4 4 0)
- 73.47 deg, I 11, (5 3 3)
- 74.46 deg, I 19, (6 2 2)
- 88.95 deg, I 21, (7 3 1)

Crystal structure
a b c (Å): 8.4521 8.4521 8.4521
angles (deg): 90.00 90.00 90.00
Space group F-43m (No. 216)
Symmetry-distinct sites (fractional):
Cd  0.1250  0.1250  0.1250 (multiplicity 16)
Te  0.0000  0.0000  0.5000 (multiplicity 4)
Cl  0.2500  0.2500  0.7500 (multiplicity 4)

(14)
The following is a theoretical powder X-ray diffraction pattern of CdTeCl4. It was derived from a cell relaxed with PBE, using copper Kα.
Intensities are scaled so that the largest is 100.

Largest 10 diffraction maxima, sorted by position, 2θ from 10° to 90°:
- 18.04 deg, I 25, (1 1 1)
- 29.68 deg, I 77, (2 2 0)
- 34.95 deg, I 100, (3 1 1)
- 52.66 deg, I 30, (4 2 2)
- 56.13 deg, I 32, (5 1 1)
- 61.62 deg, I 22, (4 4 0)
- 69.87 deg, I 12, (6 2 0)
- 72.84 deg, I 11, (5 3 3)
- 85.30 deg, I 15, (6 4 2)
- 88.13 deg, I 20, (7 3 1)

Crystal structure
a b c (Å): 8.5148 8.5148 8.5148
angles (deg): 90.00 90.00 90.00
Space group F-43m (No. 216)
Symmetry-distinct sites (fractional):
Cd  0.0000  0.0000  0.0000 (multiplicity 4)
Te  0.2500  0.2500  0.2500 (multiplicity 4)
Cl  0.1260  0.1260  0.6260 (multiplicity 16)